Calculated powder diffraction line list of K3RbPd8 for Cu Ka, from a GGA-PBE-relaxed structure.

Cell: 9.7672 9.7672 9.7672 Å, 33.47 33.47 33.47°
Fractional positions:
K 0.0000 0.0000 0.0000
K 0.1249 0.1249 0.1249
K 0.4995 0.4995 0.4995
Rb 0.6251 0.6251 0.6251
Pd 0.0617 0.0617 0.5611
Pd 0.0617 0.5611 0.0617
Pd 0.0641 0.5627 0.5627
Pd 0.3125 0.3125 0.3125
Pd 0.5611 0.0617 0.0617
Pd 0.5627 0.0641 0.5627
Pd 0.5627 0.5627 0.0641
Pd 0.8123 0.8123 0.8123

Main lines, in order of rising 2θ (2θ from 15° to 90°):
2θ/deg, I (rel.)
19.31, 44.1
31.79, 10.2
37.46, 100.0
39.12, 16.5
39.22, 49.0
45.57, 18.6
60.34, 7.9
60.44, 23.6
66.35, 15.1
66.50, 15.1
78.88, 8.0
79.96, 17.8


Calculated powder diffraction line list of K3Rb7Pd for Cu Ka, from a GGA-PBE-relaxed structure.

Cell: 8.6932 8.6932 12.7239 Å, 106.63 106.63 98.83°
Fractional positions:
K 0.0000 0.0000 0.0000
K 0.5512 0.8912 0.1242
K 0.8912 0.5512 0.1242
Rb 0.1069 0.4609 0.8286
Rb 0.3327 0.9817 0.4233
Rb 0.4362 0.4362 0.2524
Rb 0.4609 0.1069 0.8286
Rb 0.5416 0.5416 0.6898
Rb 0.9047 0.9047 0.5707
Rb 0.9817 0.3327 0.4233
Pd 0.2225 0.2225 0.6266

Main lines, in order of rising 2θ (2θ from 15° to 90°):
2θ/deg, I (rel.)
15.54, 39.7
20.56, 42.3
22.03, 100.0
22.17, 49.9
24.67, 64.2
24.85, 66.6
27.03, 44.3
29.27, 33.7
35.45, 23.8
36.95, 27.4
41.88, 31.0
41.95, 23.4